Starting from the GGA-PBE geometry in Alexandria, the powder X-ray diffraction pattern of NaMgBi2 was calculated for Cu Kα.

Largest 8 diffraction maxima, most intense first, 10° ≤ 2θ ≤ 80°:
hkl 1 0 4, 30.3 deg, 2.946 Å, rel. 100.0; hkl 0 1 2, 28.4 deg, 3.145 Å, rel. 72.9; hkl 0 0 6, 18.2 deg, 4.867 Å, rel. 64.7; hkl 0 1 8, 37.2 deg, 2.415 Å, rel. 54.8; hkl 1 1 0, 49.0 deg, 1.859 Å, rel. 27.7; hkl 1 1 6, 52.7 deg, 1.737 Å, rel. 26.4; hkl 1 0 10, 41.8 deg, 2.163 Å, rel. 22.7; hkl 1 1 12, 62.9 deg, 1.477 Å, rel. 21.6

```
NaMgBi2
1.0
3.718 0.000 0.000
-1.859 3.220 0.000
0.000 0.000 29.205
Na Mg Bi
3 3 6
Direct
0.000 0.000 0.000
0.333 0.667 0.667
0.667 0.333 0.333
0.000 0.000 0.500
0.333 0.667 0.167
0.667 0.333 0.833
0.000 0.000 0.244
0.000 0.000 0.756
0.333 0.667 0.423
0.333 0.667 0.910
0.667 0.333 0.090
0.667 0.333 0.577
```